Structure and theoretical powder diffraction line list of Ba3US7 (DFT lattice parameters and positions (GGA-PBE); copper Kα).
Peak positions follow from Bragg's law for the DFT cell and can differ from measured ones.

Most intense lines, 10° ≤ 2θ ≤ 90°, in order of falling intensity:
22.3°, intensity 100
22.9°, intensity 73
39.6°, intensity 31
39.9°, intensity 28
32.2°, intensity 27
13.7°, intensity 23
33.0°, intensity 21
38.9°, intensity 19

Atomic structure:
Unit cell a=7.7651 b=7.7651 c=7.7750 alpha=118.35 beta=118.35 gamma=91.40
Positions (direct):
Ba1 0.0000 0.0000 0.0000
Ba2 0.2747 0.7237 0.4423
Ba3 0.7237 0.2747 0.4423
U1 0.4299 0.4299 0.8686
S1 0.1122 0.1122 0.4787
S2 0.1561 0.6482 0.7575
S3 0.3325 0.3325 0.0953
S4 0.3881 0.8178 0.1317
S5 0.6200 0.6200 0.7705
S6 0.6482 0.1561 0.7575
S7 0.8178 0.3881 0.1317

Structure and theoretical powder diffraction line list of Cu3Ag5S3 (DFT lattice parameters and positions (GGA-PBE); copper Kα).
Peak positions follow from Bragg's law for the DFT cell and can differ from measured ones.

Most intense lines, 10° ≤ 2θ ≤ 90°, in order of falling intensity:
38.4°, intensity 100
12.6°, intensity 89
39.6°, intensity 68
36.2°, intensity 60
38.6°, intensity 55
37.6°, intensity 53
24.2°, intensity 51
28.3°, intensity 43

Atomic structure:
Unit cell a=3.9814 b=7.6455 c=7.6500 alpha=104.79 beta=103.51 gamma=103.21
Positions (direct):
Cu1 0.0000 0.0000 0.0000
Cu2 0.0022 0.7730 0.2276
Cu3 0.0406 0.3992 0.6271
Ag1 0.2945 0.3236 0.3155
Ag2 0.2972 0.0880 0.5510
Ag3 0.4435 0.7355 0.5566
Ag4 0.4445 0.3285 0.9650
Ag5 0.6388 0.0331 0.2603
S1 0.4245 0.9799 0.8508
S2 0.4281 0.6240 0.2085
S3 0.6373 0.5018 0.7309

Structure and theoretical powder diffraction line list of LiNp3S6 (DFT lattice parameters and positions (GGA-PBE); copper Kα).
Peak positions follow from Bragg's law for the DFT cell and can differ from measured ones.

Most intense lines, 10° ≤ 2θ ≤ 90°, in order of falling intensity:
25.8°, intensity 100
17.4°, intensity 72
26.3°, intensity 55
43.8°, intensity 50
38.3°, intensity 48
26.4°, intensity 35
19.4°, intensity 33
39.3°, intensity 31

Atomic structure:
Unit cell a=8.2865 b=8.2865 c=6.5568 alpha=90.00 beta=90.00 gamma=101.44
Positions (direct):
Li1 0.1864 0.8136 0.5000
Li2 0.8136 0.1864 0.0000
Np1 0.0774 0.2839 0.4711
Np2 0.2839 0.0774 0.9711
Np3 0.3949 0.6051 0.8748
Np4 0.6051 0.3949 0.3748
Np5 0.7161 0.9226 0.4711
Np6 0.9226 0.7161 0.9711
S1 0.0220 0.9780 0.7060
S2 0.0949 0.5592 0.6975
S3 0.2289 0.7711 0.1316
S4 0.3064 0.3702 0.1716
S5 0.3702 0.3064 0.6716
S6 0.4408 0.9051 0.6975
S7 0.5592 0.0949 0.1975
S8 0.6298 0.6936 0.1716
S9 0.6936 0.6298 0.6716
S10 0.7711 0.2289 0.6316
S11 0.9051 0.4408 0.1975
S12 0.9780 0.0220 0.2060

Structure and theoretical powder diffraction line list of MgNiBr4 (DFT lattice parameters and positions (GGA-PBE); copper Kα).
Peak positions follow from Bragg's law for the DFT cell and can differ from measured ones.

Most intense lines, 10° ≤ 2θ ≤ 90°, in order of falling intensity:
12.8°, intensity 100
30.5°, intensity 97
48.2°, intensity 58
38.3°, intensity 58
30.0°, intensity 46
29.7°, intensity 41
47.8°, intensity 39
37.0°, intensity 37

Atomic structure:
Unit cell a=6.5434 b=3.7722 c=6.9159 alpha=90.00 beta=92.46 gamma=90.00
Positions (direct):
Mg1 0.0000 0.0000 0.0000
Ni1 0.5000 0.5000 0.0000
Br1 0.1873 0.5000 0.2159
Br2 0.3367 0.0000 0.7929
Br3 0.6633 0.0000 0.2071
Br4 0.8127 0.5000 0.7841

Structure and theoretical powder diffraction line list of Cs2TiGe3O9 (DFT lattice parameters and positions (GGA-PBE); copper Kα).
Peak positions follow from Bragg's law for the DFT cell and can differ from measured ones.

Most intense lines, 10° ≤ 2θ ≤ 90°, in order of falling intensity:
29.7°, intensity 100
29.1°, intensity 87
29.4°, intensity 74
52.1°, intensity 40
24.3°, intensity 34
58.7°, intensity 26
46.3°, intensity 24
49.9°, intensity 22

Atomic structure:
Unit cell a=7.3163 b=7.3163 c=10.5430 alpha=90.00 beta=90.00 gamma=120.00
Positions (direct):
Cs1 0.3333 0.6667 0.0587
Cs2 0.3333 0.6667 0.4413
Cs3 0.6667 0.3333 0.5587
Cs4 0.6667 0.3333 0.9413
Ti1 0.0000 0.0000 0.0000
Ti2 0.0000 0.0000 0.5000
Ge1 0.1424 0.3697 0.7500
Ge2 0.2272 0.8576 0.7500
Ge3 0.3697 0.2272 0.2500
Ge4 0.6303 0.7728 0.7500
Ge5 0.7728 0.1424 0.2500
Ge6 0.8576 0.6303 0.2500
O1 0.0380 0.2387 0.6074
O2 0.0380 0.2387 0.8926
O3 0.0707 0.5748 0.7500
O4 0.2007 0.9620 0.6074
O5 0.2007 0.9620 0.8926
O6 0.2387 0.2007 0.1074
O7 0.2387 0.2007 0.3926
O8 0.4252 0.4959 0.7500
O9 0.4959 0.0707 0.2500
O10 0.5041 0.9293 0.7500
O11 0.5748 0.5041 0.2500
O12 0.7613 0.7993 0.6074
O13 0.7613 0.7993 0.8926
O14 0.7993 0.0380 0.1074
O15 0.7993 0.0380 0.3926
O16 0.9293 0.4252 0.2500
O17 0.9620 0.7613 0.1074
O18 0.9620 0.7613 0.3926